# 1
For La3Cr2, a crystal structure in Alexandria, relaxed with PBE gives the calculated powder diffractogram in this record (Cu Kα).
Peak positions follow from Bragg's law for the DFT cell and can differ from measured ones.

Structural model:
```
data_La3Cr2
_symmetry_space_group_name_H-M 'P 1'
_symmetry_Int_Tables_number 1
_cell_length_a 5.137
_cell_length_b 5.137
_cell_length_c 6.408
_cell_angle_alpha 90.00
_cell_angle_beta 90.00
_cell_angle_gamma 120.00
loop_
_symmetry_equiv_pos_as_xyz
'x,y,z'
loop_
_atom_site_label
_atom_site_type_symbol
_atom_site_fract_x
_atom_site_fract_y
_atom_site_fract_z
La1 La 0.000 0.000 0.000
La2 La 0.333 0.667 0.348
La3 La 0.667 0.333 0.652
Cr1 Cr 0.333 0.667 0.866
Cr2 Cr 0.667 0.333 0.134
```

Main lines, sorted by position (10 to 90 degrees two-theta):
2θ = 24.4°, I = 85; 2θ = 34.5°, I = 100; 2θ = 34.9°, I = 96; 2θ = 43.0°, I = 19; 2θ = 49.9°, I = 34; 2θ = 56.0°, I = 18; 2θ = 56.6°, I = 18; 2θ = 61.5°, I = 16; 2θ = 62.4°, I = 34; 2θ = 62.6°, I = 17

=====

# 2
For La3Cr, a crystal structure in Alexandria, relaxed with PBE gives the calculated powder diffractogram in this record (Cu Kα).
Peak positions follow from Bragg's law for the DFT cell and can differ from measured ones.

Structural model:
```
data_La3Cr
_symmetry_space_group_name_H-M 'P 1'
_symmetry_Int_Tables_number 1
_cell_length_a 5.446
_cell_length_b 7.241
_cell_length_c 6.245
_cell_angle_alpha 90.00
_cell_angle_beta 90.00
_cell_angle_gamma 90.00
loop_
_symmetry_equiv_pos_as_xyz
'x,y,z'
loop_
_atom_site_label
_atom_site_type_symbol
_atom_site_fract_x
_atom_site_fract_y
_atom_site_fract_z
La1 La 0.250 0.001 0.173
La2 La 0.250 0.250 0.618
La3 La 0.250 0.499 0.173
La4 La 0.750 0.501 0.827
La5 La 0.750 0.750 0.382
La6 La 0.750 0.999 0.827
Cr1 Cr 0.250 0.750 0.685
Cr2 Cr 0.750 0.250 0.315
```

Main lines, sorted by position (10 to 90 degrees two-theta):
2θ = 21.7°, I = 6; 2θ = 28.5°, I = 25; 2θ = 32.9°, I = 24; 2θ = 33.0°, I = 100; 2θ = 44.1°, I = 15; 2θ = 50.4°, I = 7; 2θ = 50.6°, I = 11; 2θ = 58.8°, I = 19; 2θ = 61.5°, I = 8; 2θ = 61.6°, I = 23